Computed X-ray diffraction stick pattern of RbZrCdS3 for Cu Kα (weighted mean of Kα1 and Kα2), from a GGA-PBE-relaxed structure.
Intensities are scaled so that the largest is 100.

Most intense lines, 2θ = 10–90°, sorted by position:
Position (°2θ)  d/Å  I (rel.)
11.83  7.479  100
23.79  3.740  29
25.79  3.455  25
28.41  3.142  36
31.87  2.808  23
32.18  2.782  88
39.60  2.276  23
54.04  1.697  25

Atomic structure:
```
RbZrCdS3
1.0
8.524 0.000 0.000
0.000 3.806 0.000
-3.061 0.000 9.990
Rb Zr Cd S
2 2 2 6
Cartesian
1.063 0.951 2.641
4.401 2.854 7.349
0.438 2.854 8.447
5.026 0.951 1.544
-0.748 0.951 5.795
6.212 2.854 4.195
-1.373 0.951 8.369
1.103 2.854 6.056
3.292 2.854 1.105
2.171 0.951 8.885
4.361 0.951 3.934
6.836 2.854 1.622
```

***

Computed X-ray diffraction stick pattern of RbSmCdSe3 for Cu Kα (weighted mean of Kα1 and Kα2), from a GGA-PBE-relaxed structure.
Intensities are scaled so that the largest is 100.

Most intense lines, 2θ = 10–90°, sorted by position:
Position (°2θ)  d/Å  I (rel.)
28.01  3.186  100
30.32  2.948  55
35.36  2.539  21
38.21  2.355  21
41.34  2.184  31
41.78  2.162  26
42.16  2.144  27
52.49  1.743  23

Atomic structure:
```
RbSmCdSe3
1.0
9.092 -2.162 0.000
9.092 2.162 0.000
-2.187 0.000 9.168
Rb Sm Cd Se
2 2 2 6
Cartesian
2.477 0.000 0.613
13.519 0.000 8.556
1.833 0.000 5.361
14.164 0.000 3.808
8.346 0.000 2.574
7.651 0.000 6.595
-1.094 0.000 4.584
4.718 0.000 5.786
5.659 0.000 1.975
9.092 0.000 0.000
10.338 0.000 7.194
11.279 0.000 3.382
```